Structure and computed powder X-ray diffraction pattern of Mn6BP (DFT lattice parameters and positions (GGA-PBE); Cu Ka).
Neutral-atom scattering factors, no anomalous dispersion.

Cell and atoms:
```
16
Lattice="6.1126 -2.1480 0.0000 6.1126 2.1480 0.0000 -5.9722 0.0000 6.2255" Properties=species:S:1:pos:R:3 pbc="T T T"
Mn -1.8978 0.0000 2.3840
Mn 3.7735 1.0528 0.3547
Mn 0.0071 1.1217 5.0429
Mn 6.2458 1.1217 1.1827
Mn 2.4261 -0.0802 2.0894
Mn 2.4794 1.0528 5.8708
Mn -0.1642 -1.1272 3.7512
Mn 3.8268 -0.0802 4.1361
Mn 4.9930 -1.1791 0.2413
Mn 1.2599 -1.1791 5.9843
Mn 8.1507 0.0000 3.8415
Mn 6.4172 -1.1272 2.4744
B 1.6109 0.0016 4.1307
B 4.6420 0.0016 2.0949
P -1.9387 -0.0570 4.6675
P 8.1917 -0.0570 1.5580
```

Principal peaks in the range 15 to 90 degrees two-theta, in order of rising 2θ:
42.46°, d = 2.129 Å, I = 37; 42.76°, d = 2.115 Å, I = 58; 43.05°, d = 2.101 Å, I = 56; 43.34°, d = 2.088 Å, I = 43; 44.68°, d = 2.028 Å, I = 100; 46.56°, d = 1.951 Å, I = 63; 47.33°, d = 1.921 Å, I = 97; 48.52°, d = 1.876 Å, I = 49